Diffraction record for CsAlAgF6. The powder X-ray diffraction pattern is simulated, not measured: it uses a cell relaxed with PBE and Cu Kα.
Lines closer than 0.1° are merged.

Most intense lines, 10 to 90 degrees two-theta, sorted by position:
hkl 1 1 2, 23.9°, rel. 51; hkl 0 2 0, 24.2°, rel. 33; hkl 2 1 1, 27.8°, rel. 100; hkl 1 0 3, 28.0°, rel. 31; hkl 0 1 3, 28.2°, rel. 49; hkl 1 2 1, 28.3°, rel. 48; hkl 0 2 2, 29.7°, rel. 28; hkl 1 2 3, 37.4°, rel. 28; hkl 2 3 1, 44.9°, rel. 24; hkl 2 2 4, 48.9°, rel. 48

Structure:
abc: 7.5853 7.3443 10.5287
angles: 90.00 90.00 90.00
Fractional positions:
Cs: 0.0213 0.2500 0.1338
Cs: 0.4787 0.7500 0.6338
Cs: 0.5213 0.2500 0.3662
Cs: 0.9787 0.7500 0.8662
Al: 0.0000 0.0000 0.5000
Al: 0.0000 0.5000 0.5000
Al: 0.5000 0.0000 0.0000
Al: 0.5000 0.5000 0.0000
Ag: 0.2153 0.2500 0.7544
Ag: 0.2847 0.7500 0.2544
Ag: 0.7153 0.2500 0.7456
Ag: 0.7847 0.7500 0.2456
F: 0.0356 0.2500 0.4949
F: 0.0376 0.7500 0.1705
F: 0.1319 0.5132 0.6449
F: 0.1319 0.9868 0.6449
F: 0.2005 0.5294 0.4069
F: 0.2005 0.9706 0.4069
F: 0.2995 0.0294 0.9069
F: 0.2995 0.4706 0.9069
F: 0.3681 0.0132 0.1449
F: 0.3681 0.4868 0.1449
F: 0.4624 0.2500 0.6705
F: 0.4644 0.7500 0.9949
F: 0.5356 0.2500 0.0051
F: 0.5376 0.7500 0.3295
F: 0.6319 0.5132 0.8551
F: 0.6319 0.9868 0.8551
F: 0.7005 0.5294 0.0931
F: 0.7005 0.9706 0.0931
F: 0.7995 0.0294 0.5931
F: 0.7995 0.4706 0.5931
F: 0.8681 0.0132 0.3551
F: 0.8681 0.4868 0.3551
F: 0.9624 0.2500 0.8295
F: 0.9644 0.7500 0.5051